# 1
Simulated X-ray powder pattern of PrSmNO for λ = 1.5418 Å (Cu Kα), from DFT lattice parameters and positions (GGA-PBE).
Lines closer than 0.1° are merged.

```
PrSmNO
1.0
3.5905 0.0000 0.0000
0.0000 3.5905 0.0000
0.0000 0.0000 5.0993
Pr Sm N O
1 1 1 1
direct
0.0000 0.0000 0.0000 Pr
0.5000 0.5000 0.5000 Sm
0.0000 0.0000 0.5000 N
0.5000 0.5000 0.0000 O
```

Top 10 peaks for 2θ = 10–90°, by angle:
2θ = 30.45°, intensity 100; 2θ = 35.20°, intensity 26; 2θ = 35.35°, intensity 52; 2θ = 50.75°, intensity 36; 2θ = 50.86°, intensity 18; 2θ = 60.24°, intensity 15; 2θ = 60.44°, intensity 30; 2θ = 63.36°, intensity 18; 2θ = 82.67°, intensity 13; 2θ = 85.48°, intensity 16

***

# 2
Simulated X-ray powder pattern of TaNb6Mo2 for λ = 1.5418 Å (Cu Kα), from DFT lattice parameters and positions (GGA-PBE).
Lines closer than 0.1° are merged.

```
TaNb6Mo2
1.0
5.2155 -1.6369 0.0000
5.2155 1.6369 0.0000
-3.2996 0.0000 9.2877
Ta Nb Mo
1 6 2
direct
0.0000 0.0000 0.0000 Ta
0.0040 0.0040 0.3296 Nb
0.3265 0.3265 0.1133 Nb
0.3308 0.3308 0.4388 Nb
0.6692 0.6692 0.5612 Nb
0.6735 0.6735 0.8867 Nb
0.9960 0.9960 0.6704 Nb
0.3357 0.3357 0.7785 Mo
0.6643 0.6643 0.2215 Mo
```

Top 10 peaks for 2θ = 10–90°, by angle:
2θ = 38.40°, intensity 51; 2θ = 38.84°, intensity 100; 2θ = 38.89°, intensity 99; 2θ = 39.24°, intensity 48; 2θ = 55.99°, intensity 17; 2θ = 56.17°, intensity 33; 2θ = 69.70°, intensity 17; 2θ = 69.80°, intensity 17; 2θ = 70.11°, intensity 17; 2θ = 70.68°, intensity 17

***

# 3
Simulated X-ray powder pattern of Sr2MgIn12 for λ = 1.5418 Å (Cu Kα), from DFT lattice parameters and positions (GGA-PBE).
Lines closer than 0.1° are merged.

```
Sr2MgIn12
1.0
7.0476 0.0000 0.0000
0.0000 7.0476 0.0000
0.0000 0.0000 17.5545
Sr Mg In
4 2 24
direct
0.2500 0.7500 0.2450 Sr
0.2500 0.7500 0.7550 Sr
0.7500 0.2500 0.2450 Sr
0.7500 0.2500 0.7550 Sr
0.2500 0.7500 0.0000 Mg
0.7500 0.2500 0.0000 Mg
0.0001 0.9999 0.0896 In
0.9999 0.0001 0.9104 In
0.9999 0.4999 0.0896 In
0.0001 0.5001 0.9104 In
0.0840 0.5840 0.4308 In
0.0840 0.9160 0.5692 In
0.2500 0.2500 0.1856 In
0.2500 0.2500 0.3474 In
0.2500 0.2500 0.6526 In
0.2500 0.2500 0.8144 In
0.4160 0.5840 0.5692 In
0.4160 0.9160 0.4308 In
0.5001 0.0001 0.0896 In
0.4999 0.9999 0.9104 In
0.4999 0.5001 0.0896 In
0.5001 0.4999 0.9104 In
0.5840 0.0840 0.5692 In
0.5840 0.4160 0.4308 In
0.7500 0.7500 0.1856 In
0.7500 0.7500 0.3474 In
0.7500 0.7500 0.6526 In
0.7500 0.7500 0.8144 In
0.9160 0.0840 0.4308 In
0.9160 0.4160 0.5692 In
```

Top 10 peaks for 2θ = 10–90°, by angle:
2θ = 27.07°, intensity 26; 2θ = 27.27°, intensity 100; 2θ = 30.13°, intensity 20; 2θ = 32.26°, intensity 27; 2θ = 35.05°, intensity 23; 2θ = 35.58°, intensity 36; 2θ = 36.06°, intensity 95; 2θ = 40.06°, intensity 50; 2θ = 45.66°, intensity 16; 2θ = 64.85°, intensity 17

***

# 4
Simulated X-ray powder pattern of RbScF3 for λ = 1.5418 Å (Cu Kα), from DFT lattice parameters and positions (GGA-PBE).
Lines closer than 0.1° are merged.

```
RbScF3
1.0
-2.8414 4.7890 4.9575
2.8414 -4.7890 4.9575
2.8414 4.7890 -4.9575
Rb Sc F
2 2 6
direct
0.1958 0.0000 0.1958 Rb
0.8042 0.0000 0.8042 Rb
0.3299 0.3299 0.0000 Sc
0.6701 0.6701 0.0000 Sc
0.1953 0.4347 0.2395 F
0.1953 0.9558 0.7605 F
0.3657 0.5000 0.8657 F
0.6343 0.5000 0.1343 F
0.8047 0.0442 0.2395 F
0.8047 0.5653 0.7605 F
```

Top 10 peaks for 2θ = 10–90°, by angle:
2θ = 17.95°, intensity 25; 2θ = 18.15°, intensity 66; 2θ = 25.90°, intensity 100; 2θ = 31.31°, intensity 24; 2θ = 31.49°, intensity 12; 2θ = 36.45°, intensity 17; 2θ = 37.04°, intensity 34; 2θ = 43.03°, intensity 14; 2θ = 43.61°, intensity 13; 2θ = 49.22°, intensity 12

***

Q: What is the formula in the third record?
A: Sr2MgIn12